1.
Calculated X-ray powder pattern
Compound: LiCr2O4
Radiation: Cu Ka
Structure: the PBE+U geometry in the Materials Project
No peak broadening, texture or thermal motion is included.

Top 10 peaks for 2θ = 10–90°, low angle first:
18.39°, rel. 40; 21.67°, rel. 24; 30.62°, rel. 100; 35.54°, rel. 94; 36.00°, rel. 23; 36.30°, rel. 49; 43.41°, rel. 15; 54.30°, rel. 16; 57.73°, rel. 25; 63.66°, rel. 51

```
14
Lattice="-2.9149 2.9824 4.1006 2.9149 -2.9824 4.1006 2.9149 2.9824 -4.1006" Properties=species:S:1:pos:R:3 pbc="T T T"
Li -1.4575 1.4912 2.0503
Li 1.4575 1.4912 2.0503
Cr 0.0000 0.0000 0.0000
Cr 2.9149 1.4912 -1.0568
Cr 0.0000 2.9824 0.0000
Cr 0.0000 1.4912 5.1574
O 2.9149 2.9527 -2.0961
O 1.3724 1.4912 -0.0086
O 1.5425 -1.4912 4.0920
O 2.9149 -0.0297 2.0961
O 0.0000 3.0121 2.0045
O 1.3724 4.4736 0.0086
O 1.5425 1.4912 4.1092
O 0.0000 0.0297 6.1966
```



2.
Calculated X-ray powder pattern
Compound: MgMn2O4
Radiation: Cu Ka
Structure: the PBE+U geometry in the Materials Project
No peak broadening, texture or thermal motion is included.

Top 10 peaks for 2θ = 10–90°, low angle first:
17.84°, rel. 100; 26.89°, rel. 19; 34.25°, rel. 58; 35.85°, rel. 34; 39.96°, rel. 29; 41.71°, rel. 39; 45.69°, rel. 57; 55.23°, rel. 26; 60.27°, rel. 39; 63.40°, rel. 15

```
7
Lattice="2.6576 -1.5367 0.0000 2.6576 1.5367 0.0000 -1.7857 0.0000 9.9459" Properties=species:S:1:pos:R:3 pbc="T T T"
Mg 0.0000 0.0000 0.0000
Mn -0.0105 0.0000 2.7116
Mn 1.7575 0.0000 7.3623
O -0.0134 0.0000 8.7971
O 1.7609 0.0000 3.5102
O 3.5406 0.0000 1.2863
O 3.5291 0.0000 6.5685
```



Which formula does entry 1 have?
LiCr2O4



Repeat the first record exactly.
Calculated X-ray powder pattern
Compound: LiCr2O4
Radiation: Cu Ka
Structure: the PBE+U geometry in the Materials Project
No peak broadening, texture or thermal motion is included.

Top 10 peaks for 2θ = 10–90°, low angle first:
18.39°, rel. 40; 21.67°, rel. 24; 30.62°, rel. 100; 35.54°, rel. 94; 36.00°, rel. 23; 36.30°, rel. 49; 43.41°, rel. 15; 54.30°, rel. 16; 57.73°, rel. 25; 63.66°, rel. 51

```
14
Lattice="-2.9149 2.9824 4.1006 2.9149 -2.9824 4.1006 2.9149 2.9824 -4.1006" Properties=species:S:1:pos:R:3 pbc="T T T"
Li -1.4575 1.4912 2.0503
Li 1.4575 1.4912 2.0503
Cr 0.0000 0.0000 0.0000
Cr 2.9149 1.4912 -1.0568
Cr 0.0000 2.9824 0.0000
Cr 0.0000 1.4912 5.1574
O 2.9149 2.9527 -2.0961
O 1.3724 1.4912 -0.0086
O 1.5425 -1.4912 4.0920
O 2.9149 -0.0297 2.0961
O 0.0000 3.0121 2.0045
O 1.3724 4.4736 0.0086
O 1.5425 1.4912 4.1092
O 0.0000 0.0297 6.1966
```